# 1
The following is a computed PXRD pattern of Cd15Ag2Au2. It was derived from a structure optimized by DFT (GGA-PBE), using λ = 1.5418 Å (Cu Kα).

Principal peaks in the range 2θ = 10–80°, low angle first:
24.9 deg, intensity 18.5; 29.4 deg, intensity 23.4; 32.4 deg, intensity 79.5; 33.8 deg, intensity 28.2; 35.1 deg, intensity 29.6; 37.7 deg, intensity 100.0; 40.8 deg, intensity 38.6; 43.1 deg, intensity 19.5; 44.7 deg, intensity 25.4; 67.3 deg, intensity 20.0

Atomic structure:
```
Cd15Ag2Au2
1.0
4.4242 2.5543 6.6312
-4.4242 2.5543 6.6312
0.0000 -5.1087 6.6312
Cd Ag Au
15 2 2
Direct
0.0000 0.0000 0.5000 Cd
0.0000 0.3151 0.6849 Cd
0.0000 0.5000 0.0000 Cd
0.0000 0.6849 0.3151 Cd
0.1743 0.5907 0.5907 Cd
0.3151 0.0000 0.6849 Cd
0.3151 0.6849 0.0000 Cd
0.4093 0.4093 0.8257 Cd
0.4093 0.8257 0.4093 Cd
0.5000 0.0000 0.0000 Cd
0.5907 0.1743 0.5907 Cd
0.5907 0.5907 0.1743 Cd
0.6849 0.0000 0.3151 Cd
0.6849 0.3151 0.0000 Cd
0.8257 0.4093 0.4093 Cd
0.3402 0.3402 0.3402 Ag
0.6598 0.6598 0.6598 Ag
0.0765 0.0765 0.0765 Au
0.9235 0.9235 0.9235 Au
```



# 2
The following is a computed PXRD pattern of Cd3Ag8Au2. It was derived from a structure optimized by DFT (GGA-PBE), using λ = 1.5418 Å (Cu Kα).

Principal peaks in the range 2θ = 10–80°, low angle first:
22.1 deg, intensity 23.3; 32.9 deg, intensity 55.6; 34.0 deg, intensity 32.3; 37.2 deg, intensity 100.0; 37.3 deg, intensity 41.5; 38.6 deg, intensity 62.6; 40.9 deg, intensity 25.0; 42.5 deg, intensity 20.5; 61.5 deg, intensity 53.4; 68.9 deg, intensity 30.2

Atomic structure:
```
Cd3Ag8Au2
1.0
2.7260 1.5739 10.3204
-2.7260 1.5739 10.3204
0.0000 -3.1477 10.3204
Cd Ag Au
3 8 2
Direct
0.0000 0.0000 0.0000 Cd
0.1824 0.1824 0.1824 Cd
0.8176 0.8176 0.8176 Cd
0.2296 0.7310 0.7310 Ag
0.2690 0.2690 0.7704 Ag
0.2690 0.7704 0.2690 Ag
0.2732 0.2732 0.2732 Ag
0.7268 0.7268 0.7268 Ag
0.7310 0.2296 0.7310 Ag
0.7310 0.7310 0.2296 Ag
0.7704 0.2690 0.2690 Ag
0.3602 0.3602 0.3602 Au
0.6398 0.6398 0.6398 Au
```



# 3
The following is a computed PXRD pattern of Cd3Ag6Au. It was derived from a structure optimized by DFT (GGA-PBE), using λ = 1.5418 Å (Cu Kα).

Principal peaks in the range 2θ = 10–80°, low angle first:
31.1 deg, intensity 19.4; 33.8 deg, intensity 41.4; 35.9 deg, intensity 23.3; 37.3 deg, intensity 22.3; 37.5 deg, intensity 100.0; 37.8 deg, intensity 59.8; 38.0 deg, intensity 64.7; 40.0 deg, intensity 47.6; 41.4 deg, intensity 41.5; 71.0 deg, intensity 21.4

Atomic structure:
```
Cd3Ag6Au
1.0
5.0901 -2.7793 0.0000
5.0901 2.7793 0.0000
-2.3151 0.0000 7.0501
Cd Ag Au
3 6 1
Direct
0.0000 0.0000 0.0000 Cd
0.1011 0.1011 0.6857 Cd
0.8989 0.8989 0.3143 Cd
0.0897 0.5895 0.6901 Ag
0.3282 0.3282 0.0797 Ag
0.4105 0.9103 0.3099 Ag
0.5895 0.0897 0.6901 Ag
0.6718 0.6718 0.9203 Ag
0.9103 0.4105 0.3099 Ag
0.5000 0.5000 0.5000 Au
```



# 4
The following is a computed PXRD pattern of Cd5AgAu2. It was derived from a structure optimized by DFT (GGA-PBE), using λ = 1.5418 Å (Cu Kα).

Principal peaks in the range 2θ = 10–80°, low angle first:
14.5 deg, intensity 9.6; 34.9 deg, intensity 100.0; 38.4 deg, intensity 44.5; 44.6 deg, intensity 10.5; 56.0 deg, intensity 8.4; 60.3 deg, intensity 10.3; 68.6 deg, intensity 7.5; 71.2 deg, intensity 7.6; 72.6 deg, intensity 16.9; 75.8 deg, intensity 9.4

Atomic structure:
```
Cd5AgAu2
1.0
-3.7020 3.7020 6.0995
3.7020 -3.7020 6.0995
3.7020 3.7020 -6.0995
Cd Ag Au
10 2 4
Direct
0.0000 0.0000 0.0000 Cd
0.0029 0.5029 0.1876 Cd
0.1848 0.9971 0.5000 Cd
0.3152 0.8152 0.8124 Cd
0.4971 0.6848 0.5000 Cd
0.5000 0.5000 0.0000 Cd
0.5029 0.3152 0.5000 Cd
0.6848 0.1848 0.1876 Cd
0.8152 0.0029 0.5000 Cd
0.9971 0.4971 0.8124 Cd
0.2500 0.2500 0.0000 Ag
0.7500 0.7500 0.0000 Ag
0.1397 0.3603 0.5000 Au
0.3603 0.8603 0.2207 Au
0.6397 0.1397 0.7793 Au
0.8603 0.6397 0.5000 Au
```



# 5
The following is a computed PXRD pattern of Cd2Ag12Au. It was derived from a structure optimized by DFT (GGA-PBE), using λ = 1.5418 Å (Cu Kα).

Principal peaks in the range 2θ = 10–80°, low angle first:
24.5 deg, intensity 41.4; 28.9 deg, intensity 45.1; 33.7 deg, intensity 67.8; 35.2 deg, intensity 65.5; 37.1 deg, intensity 68.4; 38.8 deg, intensity 100.0; 40.1 deg, intensity 32.5; 42.3 deg, intensity 62.1; 46.6 deg, intensity 74.0; 79.1 deg, intensity 31.5

Atomic structure:
```
Cd2Ag12Au
1.0
5.5177 0.0000 0.0000
0.0000 5.5177 0.0000
0.0000 0.0000 20.2179
Cd Ag Au
4 24 2
Direct
0.2500 0.7500 0.2262 Cd
0.2500 0.7500 0.7738 Cd
0.7500 0.2500 0.2262 Cd
0.7500 0.2500 0.7738 Cd
0.0000 0.0000 0.3981 Ag
0.0000 0.0000 0.6019 Ag
0.0000 0.5000 0.3981 Ag
0.0000 0.5000 0.6019 Ag
0.0726 0.5726 0.0629 Ag
0.0726 0.9274 0.9371 Ag
0.2500 0.2500 0.1615 Ag
0.2500 0.2500 0.2944 Ag
0.2500 0.2500 0.7056 Ag
0.2500 0.2500 0.8385 Ag
0.4274 0.5726 0.9371 Ag
0.4274 0.9274 0.0629 Ag
0.5000 0.0000 0.3981 Ag
0.5000 0.0000 0.6019 Ag
0.5000 0.5000 0.3981 Ag
0.5000 0.5000 0.6019 Ag
0.5726 0.0726 0.9371 Ag
0.5726 0.4274 0.0629 Ag
0.7500 0.7500 0.1615 Ag
0.7500 0.7500 0.2944 Ag
0.7500 0.7500 0.7056 Ag
0.7500 0.7500 0.8385 Ag
0.9274 0.0726 0.0629 Ag
0.9274 0.4274 0.9371 Ag
0.2500 0.7500 0.5000 Au
0.7500 0.2500 0.5000 Au
```



# 6
The following is a computed PXRD pattern of CdAg6Au5. It was derived from a structure optimized by DFT (GGA-PBE), using λ = 1.5418 Å (Cu Kα).

Principal peaks in the range 2θ = 10–80°, low angle first:
18.4 deg, intensity 7.7; 35.6 deg, intensity 3.3; 37.4 deg, intensity 100.0; 43.2 deg, intensity 33.1; 43.8 deg, intensity 15.9; 62.8 deg, intensity 10.7; 63.2 deg, intensity 21.0; 75.4 deg, intensity 25.2; 76.2 deg, intensity 9.2; 79.7 deg, intensity 8.2

Atomic structure:
```
CdAg6Au5
1.0
4.9043 -4.4407 0.0000
4.9043 4.4407 0.0000
-0.9369 0.0000 4.9936
Cd Ag Au
1 6 5
Direct
0.0000 0.0000 0.0000 Cd
0.0847 0.4190 0.2501 Ag
0.2516 0.2516 0.7483 Ag
0.4190 0.0847 0.2501 Ag
0.5810 0.9153 0.7499 Ag
0.7484 0.7484 0.2517 Ag
0.9153 0.5810 0.7499 Ag
0.1665 0.8335 0.5000 Au
0.3333 0.6667 0.0000 Au
0.5000 0.5000 0.5000 Au
0.6667 0.3333 0.0000 Au
0.8335 0.1665 0.5000 Au
```



# 7
The following is a computed PXRD pattern of Cd2Ag3Au. It was derived from a structure optimized by DFT (GGA-PBE), using λ = 1.5418 Å (Cu Kα).

Principal peaks in the range 2θ = 10–80°, low angle first:
36.8 deg, intensity 100.0; 42.5 deg, intensity 17.2; 42.6 deg, intensity 16.4; 43.2 deg, intensity 15.5; 61.7 deg, intensity 10.5; 62.2 deg, intensity 15.2; 74.0 deg, intensity 18.3; 74.2 deg, intensity 5.9; 75.0 deg, intensity 5.7; 75.1 deg, intensity 5.6

Atomic structure:
```
Cd2Ag3Au
1.0
6.3728 -2.1288 0.0000
6.3728 2.1288 0.0000
-4.2761 0.0000 8.3731
Cd Ag Au
4 6 2
Direct
0.0325 0.0325 0.3652 Cd
0.2922 0.2922 0.6351 Cd
0.7078 0.7078 0.3649 Cd
0.9675 0.9675 0.6348 Cd
0.1235 0.1235 0.1209 Ag
0.2100 0.2100 0.8798 Ag
0.4559 0.4559 0.1210 Ag
0.5441 0.5441 0.8790 Ag
0.7900 0.7900 0.1202 Ag
0.8765 0.8765 0.8791 Ag
0.3719 0.3719 0.3765 Au
0.6281 0.6281 0.6235 Au
```



# 8
The following is a computed PXRD pattern of Cd6AgAu3. It was derived from a structure optimized by DFT (GGA-PBE), using λ = 1.5418 Å (Cu Kα).

Principal peaks in the range 2θ = 10–80°, low angle first:
33.4 deg, intensity 19.1; 34.2 deg, intensity 31.4; 37.0 deg, intensity 68.7; 38.3 deg, intensity 97.6; 38.4 deg, intensity 100.0; 39.1 deg, intensity 71.4; 51.3 deg, intensity 19.6; 67.6 deg, intensity 36.3; 73.2 deg, intensity 26.6; 73.5 deg, intensity 26.8

Atomic structure:
```
Cd6AgAu3
1.0
8.1563 0.0000 0.0000
0.0000 4.8595 0.0000
-3.7801 0.0000 10.0041
Cd Ag Au
12 2 6
Direct
0.0028 0.2500 0.1642 Cd
0.0063 0.2500 0.6688 Cd
0.2105 0.7500 0.1354 Cd
0.2175 0.2500 0.4792 Cd
0.3964 0.7500 0.9284 Cd
0.4255 0.2500 0.2805 Cd
0.5745 0.7500 0.7195 Cd
0.6036 0.2500 0.0716 Cd
0.7825 0.7500 0.5208 Cd
0.7895 0.2500 0.8646 Cd
0.9937 0.7500 0.3312 Cd
0.9972 0.7500 0.8358 Cd
0.3936 0.7500 0.4295 Ag
0.6064 0.2500 0.5705 Ag
0.1845 0.7500 0.6300 Au
0.1991 0.2500 0.9712 Au
0.4006 0.2500 0.7734 Au
0.5994 0.7500 0.2266 Au
0.8009 0.7500 0.0288 Au
0.8155 0.2500 0.3700 Au
```



# 9
The following is a computed PXRD pattern of Cd3Ag5Au3. It was derived from a structure optimized by DFT (GGA-PBE), using λ = 1.5418 Å (Cu Kα).

Principal peaks in the range 2θ = 10–80°, low angle first:
12.2 deg, intensity 28.7; 18.2 deg, intensity 57.3; 21.3 deg, intensity 30.2; 30.8 deg, intensity 34.9; 36.8 deg, intensity 34.3; 37.3 deg, intensity 46.1; 41.8 deg, intensity 100.0; 53.4 deg, intensity 32.3; 69.8 deg, intensity 21.3; 70.3 deg, intensity 19.6

Atomic structure:
```
Cd3Ag5Au3
1.0
8.3523 0.0000 0.0000
-4.1762 7.2333 0.0000
0.0000 0.0000 4.8784
Cd Ag Au
3 5 3
Direct
0.0000 0.4961 0.0000 Cd
0.4961 0.0000 0.0000 Cd
0.5039 0.5039 0.0000 Cd
0.0000 0.3111 0.5000 Ag
0.3111 0.0000 0.5000 Ag
0.3333 0.6667 0.5000 Ag
0.6667 0.3333 0.5000 Ag
0.6889 0.6889 0.5000 Ag
0.0000 0.6616 0.5000 Au
0.3384 0.3384 0.5000 Au
0.6616 0.0000 0.5000 Au
```



# 10
The following is a computed PXRD pattern of Cd4Ag3Au2. It was derived from a structure optimized by DFT (GGA-PBE), using λ = 1.5418 Å (Cu Kα).

Principal peaks in the range 2θ = 10–80°, low angle first:
36.2 deg, intensity 52.4; 36.7 deg, intensity 100.0; 37.0 deg, intensity 49.0; 41.1 deg, intensity 36.4; 41.6 deg, intensity 35.3; 45.0 deg, intensity 27.8; 59.4 deg, intensity 11.9; 63.1 deg, intensity 19.6; 72.0 deg, intensity 13.2; 73.0 deg, intensity 12.8

Atomic structure:
```
Cd4Ag3Au2
1.0
4.3445 0.0000 0.0000
2.1567 4.5580 0.0000
0.1216 2.2073 8.7308
Cd Ag Au
4 3 2
Direct
0.0061 0.4880 0.3342 Cd
0.3351 0.8298 0.1129 Cd
0.6649 0.1702 0.8871 Cd
0.9939 0.5120 0.6658 Cd
0.0000 0.5000 0.0000 Ag
0.3357 0.8307 0.4476 Ag
0.6643 0.1693 0.5524 Ag
0.3290 0.8403 0.7784 Au
0.6710 0.1597 0.2216 Au
```



# 11
The following is a computed PXRD pattern of Cd10Ag3Au3. It was derived from a structure optimized by DFT (GGA-PBE), using λ = 1.5418 Å (Cu Kα).

Principal peaks in the range 2θ = 10–80°, low angle first:
26.8 deg, intensity 12.7; 31.4 deg, intensity 21.6; 33.3 deg, intensity 26.4; 37.0 deg, intensity 100.0; 38.0 deg, intensity 32.0; 38.5 deg, intensity 61.4; 47.0 deg, intensity 12.7; 48.9 deg, intensity 15.9; 59.6 deg, intensity 29.4; 74.6 deg, intensity 20.6

Atomic structure:
```
Cd10Ag3Au3
1.0
8.2127 0.0000 0.0000
-4.1064 7.1124 0.0000
0.0000 0.0000 5.6979
Cd Ag Au
10 3 3
Direct
0.0000 0.2369 0.0000 Cd
0.0000 0.7749 0.5000 Cd
0.2251 0.2251 0.5000 Cd
0.2369 0.0000 0.0000 Cd
0.3333 0.6667 0.2498 Cd
0.3333 0.6667 0.7502 Cd
0.6667 0.3333 0.2498 Cd
0.6667 0.3333 0.7502 Cd
0.7631 0.7631 0.0000 Cd
0.7749 0.0000 0.5000 Cd
0.0000 0.4025 0.5000 Ag
0.4025 0.0000 0.5000 Ag
0.5975 0.5975 0.5000 Ag
0.0000 0.6046 0.0000 Au
0.3954 0.3954 0.0000 Au
0.6046 0.0000 0.0000 Au
```



# 12
The following is a computed PXRD pattern of CdAgAu2. It was derived from a structure optimized by DFT (GGA-PBE), using λ = 1.5418 Å (Cu Kα).

Principal peaks in the range 2θ = 10–80°, low angle first:
34.6 deg, intensity 18.5; 35.2 deg, intensity 14.9; 37.1 deg, intensity 37.1; 39.4 deg, intensity 100.0; 39.9 deg, intensity 39.7; 51.7 deg, intensity 11.8; 62.7 deg, intensity 15.5; 68.5 deg, intensity 19.4; 75.2 deg, intensity 18.4; 76.0 deg, intensity 12.0

Atomic structure:
```
CdAgAu2
1.0
3.0086 0.0000 0.0000
0.0000 4.8410 0.0000
0.0000 0.0000 5.1056
Cd Ag Au
1 1 2
Direct
0.0000 0.0000 0.0000 Cd
0.0000 0.5000 0.6487 Ag
0.5000 0.0000 0.5018 Au
0.5000 0.5000 0.1522 Au
```



# 13
The following is a computed PXRD pattern of CdAgAu. It was derived from a structure optimized by DFT (GGA-PBE), using λ = 1.5418 Å (Cu Kα).

Principal peaks in the range 2θ = 10–80°, low angle first:
18.6 deg, intensity 66.1; 18.9 deg, intensity 66.6; 35.2 deg, intensity 28.6; 37.6 deg, intensity 54.8; 38.2 deg, intensity 52.4; 38.9 deg, intensity 100.0; 41.3 deg, intensity 42.2; 41.4 deg, intensity 41.8; 50.8 deg, intensity 28.2; 67.9 deg, intensity 18.9

Atomic structure:
```
CdAgAu
1.0
3.0260 0.0000 0.0000
-0.0092 4.7479 0.0000
-0.0144 -0.6315 4.7809
Cd Ag Au
1 1 1
Direct
0.0000 0.0000 0.0000 Cd
0.0000 0.5000 0.5000 Ag
0.5000 0.0000 0.5000 Au
```